# 1
For K2PtI4O2, a DFT-relaxed cell (GGA-PBE, the Materials Project) gives the calculated XRD peak list in this record (λ = 1.5418 Å (Cu Kα)).
Neutral-atom scattering factors, no anomalous dispersion.

Principal peaks in the range 2θ = 10–90°, by angle:
- 7.069 Å, I 17.2, (0 0 2)
- 5.905 Å, I 12.4, (0 2 0)
- 5.765 Å, I 100.0, (-1 1 1)
- 4.633 Å, I 32.0, (1 -2 0)
- 3.453 Å, I 16.4, (2 1 -1)
- 3.439 Å, I 14.7, (0 3 -2)
- 3.124 Å, I 36.7, (1 3 2)
- 2.810 Å, I 18.9, (1 -2 4)
- 2.567 Å, I 23.5, (2 0 4)
- 2.081 Å, I 13.6, (3 3 -1)

Atomic structure:
```
data_K2PtI4O2
_cell_length_a 7.4703
_cell_length_b 11.8102
_cell_length_c 14.1379
_cell_angle_alpha 90.11
_cell_angle_beta 90.12
_cell_angle_gamma 90.08
_space_group_name_H-M_alt 'P 1'
_space_group_IT_number 1
loop_
_space_group_symop_operation_xyz
'x,y,z'
loop_
_atom_site_label
_atom_site_type_symbol
_atom_site_fract_x
_atom_site_fract_y
_atom_site_fract_z
K1 K 0.2282 0.3563 0.1852
K2 K 0.2315 0.8554 0.3141
K3 K 0.2690 0.3513 0.6850
K4 K 0.2695 0.8541 0.8140
K5 K 0.7305 0.1459 0.1860
K6 K 0.7310 0.6487 0.3150
K7 K 0.7685 0.1446 0.6859
K8 K 0.7718 0.6437 0.8148
Pt1 Pt 0.0000 0.0000 0.0000
Pt2 Pt 0.0000 0.5000 0.5000
Pt3 Pt 0.5000 0.0000 0.5000
Pt4 Pt 0.5000 0.5000 0.0000
I1 I 0.1525 0.1681 0.9086
I2 I 0.1537 0.6667 0.5930
I3 I 0.2269 0.0640 0.1307
I4 I 0.2286 0.5633 0.3690
I5 I 0.2663 0.0591 0.6304
I6 I 0.2717 0.5624 0.8693
I7 I 0.3493 0.1687 0.4078
I8 I 0.3502 0.6686 0.0903
I9 I 0.6498 0.3314 0.9097
I10 I 0.6507 0.8313 0.5922
I11 I 0.7283 0.4376 0.1307
I12 I 0.7337 0.9409 0.3696
I13 I 0.7714 0.4367 0.6310
I14 I 0.7731 0.9360 0.8693
I15 I 0.8463 0.3333 0.4070
I16 I 0.8475 0.8319 0.0914
O1 O 0.0506 0.2002 0.7865
O2 O 0.0514 0.7009 0.7136
O3 O 0.4505 0.7046 0.2130
O4 O 0.4527 0.2037 0.2888
O5 O 0.5473 0.7963 0.7112
O6 O 0.5495 0.2954 0.7870
O7 O 0.9486 0.2991 0.2864
O8 O 0.9494 0.7998 0.2135
```

---

# 2
For KTeIO9, a DFT-relaxed cell (GGA-PBE, the Materials Project) gives the calculated XRD peak list in this record (λ = 1.5418 Å (Cu Kα)).
Neutral-atom scattering factors, no anomalous dispersion.

Principal peaks in the range 2θ = 10–90°, by angle:
- 5.078 Å, I 63.7, (1 1 1)
- 4.486 Å, I 43.1, (2 0 0)
- 4.231 Å, I 48.2, (2 1 0)
- 3.635 Å, I 100.0, (0 3 1)
- 3.518 Å, I 41.3, (0 0 2)
- 3.252 Å, I 40.6, (2 2 1)
- 2.824 Å, I 44.7, (2 3 1)
- 2.706 Å, I 25.0, (2 1 2)
- 2.436 Å, I 23.1, (2 4 1)
- 2.053 Å, I 20.0, (0 3 3)

Atomic structure:
```
data_KTeIO9
_cell_length_a 8.9718
_cell_length_b 12.7393
_cell_length_c 7.0359
_cell_angle_alpha 90.00
_cell_angle_beta 90.00
_cell_angle_gamma 90.00
_space_group_name_H-M_alt 'P 1'
_space_group_IT_number 1
loop_
_space_group_symop_operation_xyz
'x,y,z'
loop_
_atom_site_label
_atom_site_type_symbol
_atom_site_fract_x
_atom_site_fract_y
_atom_site_fract_z
K1 K 0.2029 0.0800 0.0000
K2 K 0.2971 0.5800 0.5000
K3 K 0.7029 0.4200 0.0000
K4 K 0.7971 0.9200 0.5000
Te1 Te 0.2133 0.4176 0.0656
Te2 Te 0.2867 0.9176 0.5656
Te3 Te 0.7133 0.0824 0.0656
Te4 Te 0.7867 0.5824 0.5656
I1 I 0.1541 0.2473 0.4961
I2 I 0.3459 0.7473 0.9961
I3 I 0.6541 0.2527 0.4961
I4 I 0.8459 0.7527 0.9961
O1 O 0.0194 0.3452 0.0841
O2 O 0.0655 0.1394 0.6373
O3 O 0.0763 0.2084 0.2624
O4 O 0.1022 0.9864 0.4892
O5 O 0.1144 0.5391 0.1707
O6 O 0.1601 0.6849 0.9818
O7 O 0.1818 0.4518 0.7948
O8 O 0.2251 0.7971 0.4150
O9 O 0.2269 0.8813 0.8172
O10 O 0.2731 0.3813 0.3172
O11 O 0.2749 0.2971 0.9150
O12 O 0.3182 0.9518 0.2948
O13 O 0.3399 0.1849 0.4818
O14 O 0.3856 0.0391 0.6707
O15 O 0.3978 0.4864 0.9892
O16 O 0.4237 0.7084 0.7624
O17 O 0.4345 0.6394 0.1373
O18 O 0.4806 0.8452 0.5841
O19 O 0.5194 0.1548 0.0841
O20 O 0.5655 0.3606 0.6373
O21 O 0.5763 0.2916 0.2624
O22 O 0.6022 0.5136 0.4892
O23 O 0.6144 0.9609 0.1707
O24 O 0.6601 0.8151 0.9818
O25 O 0.6818 0.0482 0.7948
O26 O 0.7251 0.7029 0.4150
O27 O 0.7269 0.6187 0.8172
O28 O 0.7731 0.1187 0.3172
O29 O 0.7749 0.2029 0.9150
O30 O 0.8182 0.5482 0.2948
O31 O 0.8399 0.3151 0.4818
O32 O 0.8856 0.4609 0.6707
O33 O 0.8978 0.0136 0.9892
O34 O 0.9237 0.7916 0.7624
O35 O 0.9345 0.8606 0.1373
O36 O 0.9806 0.6548 0.5841
```